No. 1
For KBa4Cl10, a cell relaxed with PBE gives the calculated powder diffraction line list in this record (CuKα).
No peak broadening, texture or thermal motion is included.

Largest 8 diffraction maxima, by angle, 2θ = 10–90°:
2θ 20.7, d 4.283, I 89.5, hkl 0 0 15; 2θ 34.2, d 2.623, I 100.0, hkl 1 1 0; 2θ 40.3, d 2.238, I 35.7, hkl 1 1 15; 2θ 40.4, d 2.233, I 11.5, hkl 1 0 25; 2θ 49.1, d 1.855, I 16.7, hkl 2 0 20; 2θ 53.8, d 1.703, I 14.9, hkl 1 2 5; 2θ 61.2, d 1.515, I 25.1, hkl 3 0 0; 2θ 65.3, d 1.428, I 11.2, hkl 3 0 15

Cell and atoms:
```
data_KBa4Cl10
_symmetry_space_group_name_H-M 'R -3 m'
_symmetry_Int_Tables_number 166
_symmetry_space_group_name_Hall '-R 3 2"'
_cell_length_a 5.2527
_cell_length_b 5.2527
_cell_length_c 64.0901
_cell_angle_alpha 90.00
_cell_angle_beta 90.00
_cell_angle_gamma 120.00
loop_
_atom_site_label
_atom_site_type_symbol
_atom_site_fract_x
_atom_site_fract_y
_atom_site_fract_z
K1 K 0.0000 0.0000 0.0000
Ba1 Ba 0.0000 0.0000 0.1998
Ba2 Ba 0.0000 0.0000 0.4000
Cl1 Cl 0.0000 0.0000 0.0507
Cl2 Cl 0.0000 0.0000 0.1499
Cl3 Cl 0.0000 0.0000 0.2500
Cl4 Cl 0.0000 0.0000 0.3503
Cl5 Cl 0.0000 0.0000 0.4500
```

***

No. 2
For KBaNi2Cl8, a cell relaxed with PBE gives the calculated powder diffraction line list in this record (CuKα).
No peak broadening, texture or thermal motion is included.

Largest 8 diffraction maxima, by angle, 2θ = 10–90°:
2θ 14.2, d 6.219, I 39.1, hkl 1 0 0; 2θ 16.9, d 5.253, I 100.0, hkl 0 1 1; 2θ 23.1, d 3.853, I 45.0, hkl 0 1 2; 2θ 24.8, d 3.591, I 77.2, hkl 1 1 0; 2θ 26.4, d 3.372, I 65.4, hkl 1 1 1; 2θ 30.9, d 2.897, I 79.0, hkl 1 0 3; 2θ 34.1, d 2.627, I 63.6, hkl 2 0 2; 2θ 39.5, d 2.284, I 55.1, hkl 1 0 4

Cell and atoms:
```
data_KBaNi2Cl8
_symmetry_space_group_name_H-M 'P -3 m 1'
_symmetry_Int_Tables_number 164
_symmetry_space_group_name_Hall '-P 3 2"'
_cell_length_a 7.1813
_cell_length_b 7.1813
_cell_length_c 9.8154
_cell_angle_alpha 90.00
_cell_angle_beta 90.00
_cell_angle_gamma 120.00
loop_
_atom_site_label
_atom_site_type_symbol
_atom_site_fract_x
_atom_site_fract_y
_atom_site_fract_z
K1 K 0.0000 0.0000 0.0000
Ba1 Ba 0.0000 0.0000 0.5000
Ni1 Ni 0.3333 0.6667 0.6839
Cl1 Cl 0.1636 0.3271 0.7502
Cl2 Cl 0.3333 0.6667 0.4623
```